# Sc2Ag2F7
Computed XRD peak list, Cu Kα. Input: the PBE geometry in Alexandria.
No peak broadening, texture or thermal motion is included.

Principal peaks in the range 10° ≤ 2θ ≤ 90°, most intense first:
- 22.6°, d 3.934, rel. 100.0
- 23.2°, d 3.829, rel. 89.9
- 28.2°, d 3.167, rel. 88.7
- 17.2°, d 5.159, rel. 76.6
- 43.2°, d 2.094, rel. 76.2
- 11.8°, d 7.472, rel. 60.8
- 26.9°, d 3.315, rel. 53.8
- 36.5°, d 2.460, rel. 41.0
- 47.4°, d 1.917, rel. 34.0
- 42.3°, d 2.137, rel. 33.8

Atomic structure:
Cell lengths 5.511, 5.511, 7.652 Å; angles 97.28, 97.28, 108.03 degrees
Element x y z (fractional)
1 Sc 0.249 0.249 0.118
2 Sc 0.751 0.751 0.882
3 Ag 0.155 0.845 0.500
4 Ag 0.845 0.155 0.500
5 F 0.068 0.068 0.862
6 F 0.140 0.495 0.257
7 F 0.495 0.140 0.257
8 F 0.500 0.500 0.000
9 F 0.505 0.860 0.743
10 F 0.860 0.505 0.743
11 F 0.932 0.932 0.138


# BaAcZnO4
Computed XRD peak list, Cu Kα. Input: the PBE geometry in Alexandria.
No peak broadening, texture or thermal motion is included.

Principal peaks in the range 10° ≤ 2θ ≤ 90°, most intense first:
- 29.8°, d 2.999, rel. 100.0
- 31.8°, d 2.817, rel. 64.5
- 45.5°, d 1.992, rel. 31.2
- 41.5°, d 2.174, rel. 31.0
- 23.3°, d 3.825, rel. 28.7
- 55.3°, d 1.661, rel. 18.4
- 55.4°, d 1.658, rel. 18.3
- 26.1°, d 3.416, rel. 15.9
- 40.0°, d 2.254, rel. 15.6
- 52.2°, d 1.753, rel. 13.0

Atomic structure:
Cell lengths 7.389, 7.389, 5.642 Å; angles 90.00, 90.00, 135.24 degrees
Element x y z (fractional)
1 Ba 0.105 0.895 0.750
2 Ba 0.895 0.105 0.250
3 Ac 0.386 0.614 0.750
4 Ac 0.614 0.386 0.250
5 Zn 0.243 0.757 0.250
6 Zn 0.757 0.243 0.750
7 O 0.000 0.500 0.000
8 O 0.000 0.500 0.500
9 O 0.089 0.911 0.250
10 O 0.434 0.566 0.250
11 O 0.500 0.000 0.000
12 O 0.500 0.000 0.500
13 O 0.566 0.434 0.750
14 O 0.911 0.089 0.750


# Ac2HoAs3Pt12
Computed XRD peak list, Cu Kα. Input: the PBE geometry in Alexandria.
No peak broadening, texture or thermal motion is included.

Principal peaks in the range 10° ≤ 2θ ≤ 90°, most intense first:
- 30.7°, d 2.912, rel. 100.0
- 42.5°, d 2.128, rel. 76.4
- 45.4°, d 1.996, rel. 54.0
- 63.9°, d 1.456, rel. 22.4
- 79.8°, d 1.202, rel. 21.5
- 53.3°, d 1.718, rel. 19.1
- 33.5°, d 2.674, rel. 14.9
- 70.4°, d 1.337, rel. 14.8
- 25.2°, d 3.532, rel. 13.7
- 26.4°, d 3.376, rel. 12.9

Atomic structure:
Cell lengths 8.014, 8.014, 8.014 Å; angles 64.17, 64.17, 64.17 degrees
Element x y z (fractional)
1 Ac 0.107 0.107 0.107
2 Ac 0.893 0.893 0.893
3 Ho 0.500 0.500 0.500
4 As 0.000 0.500 0.500
5 As 0.500 0.000 0.500
6 As 0.500 0.500 0.000
7 Pt 0.110 0.637 0.637
8 Pt 0.149 0.149 0.607
9 Pt 0.149 0.607 0.149
10 Pt 0.363 0.363 0.890
11 Pt 0.363 0.890 0.363
12 Pt 0.393 0.851 0.851
13 Pt 0.607 0.149 0.149
14 Pt 0.637 0.110 0.637
15 Pt 0.637 0.637 0.110
16 Pt 0.851 0.393 0.851
17 Pt 0.851 0.851 0.393
18 Pt 0.890 0.363 0.363


# NbW2
Computed XRD peak list, Cu Kα. Input: the PBE geometry in Alexandria.
No peak broadening, texture or thermal motion is included.

Principal peaks in the range 10° ≤ 2θ ≤ 90°, most intense first:
- 39.6°, d 2.278, rel. 100.0
- 71.7°, d 1.316, rel. 18.1
- 71.8°, d 1.315, rel. 14.5
- 57.1°, d 1.612, rel. 11.9
- 22.5°, d 3.945, rel. 6.9
- 57.3°, d 1.608, rel. 5.6
- 85.2°, d 1.139, rel. 5.6
- 85.3°, d 1.138, rel. 3.8
- 71.9°, d 1.313, rel. 2.9
- 85.0°, d 1.141, rel. 2.1

Atomic structure:
Cell lengths 7.878, 4.563, 2.791 Å; angles 90.00, 90.08, 90.00 degrees
Element x y z (fractional)
1 Nb 0.000 0.000 0.000
2 Nb 0.500 0.500 0.000
3 W 0.167 0.500 0.337
4 W 0.333 0.000 0.663
5 W 0.667 0.000 0.337
6 W 0.833 0.500 0.663


# K2HoMg3F12
Computed XRD peak list, Cu Kα. Input: the PBE geometry in Alexandria.
No peak broadening, texture or thermal motion is included.

Principal peaks in the range 10° ≤ 2θ ≤ 90°, most intense first:
- 14.7°, d 6.021, rel. 100.0
- 28.8°, d 3.096, rel. 64.7
- 17.4°, d 5.104, rel. 47.7
- 48.9°, d 1.864, rel. 32.9
- 38.8°, d 2.319, rel. 31.8
- 30.2°, d 2.962, rel. 28.7
- 38.4°, d 2.342, rel. 27.7
- 23.9°, d 3.728, rel. 27.5
- 45.2°, d 2.007, rel. 25.3
- 29.7°, d 3.011, rel. 23.5

Atomic structure:
Cell lengths 7.028, 7.028, 7.028 Å; angles 64.08, 64.08, 64.08 degrees
Element x y z (fractional)
1 K 0.112 0.112 0.112
2 K 0.888 0.888 0.888
3 Ho 0.500 0.500 0.500
4 Mg 0.000 0.500 0.500
5 Mg 0.500 0.000 0.500
6 Mg 0.500 0.500 0.000
7 F 0.123 0.621 0.621
8 F 0.223 0.223 0.599
9 F 0.223 0.599 0.223
10 F 0.379 0.379 0.877
11 F 0.379 0.877 0.379
12 F 0.401 0.777 0.777
13 F 0.599 0.223 0.223
14 F 0.621 0.123 0.621
15 F 0.621 0.621 0.123
16 F 0.777 0.401 0.777
17 F 0.777 0.777 0.401
18 F 0.877 0.379 0.379


# Hf3Ti4Al4
Computed XRD peak list, Cu Kα. Input: the PBE geometry in Alexandria.
No peak broadening, texture or thermal motion is included.

Principal peaks in the range 10° ≤ 2θ ≤ 90°, most intense first:
- 37.2°, d 2.417, rel. 100.0
- 34.3°, d 2.616, rel. 90.6
- 20.1°, d 4.423, rel. 68.4
- 33.3°, d 2.689, rel. 54.2
- 23.4°, d 3.806, rel. 44.3
- 39.0°, d 2.311, rel. 41.6
- 52.2°, d 1.753, rel. 37.6
- 43.7°, d 2.073, rel. 24.2
- 58.2°, d 1.586, rel. 23.3
- 56.6°, d 1.625, rel. 21.2

Atomic structure:
Cell lengths 8.449, 8.449, 8.449 Å; angles 148.25, 140.04, 51.91 degrees
Element x y z (fractional)
1 Hf 0.000 0.000 0.000
2 Hf 0.386 0.886 0.500
3 Hf 0.614 0.114 0.500
4 Ti 0.060 0.322 0.738
5 Ti 0.416 0.678 0.738
6 Ti 0.584 0.322 0.262
7 Ti 0.940 0.678 0.262
8 Al 0.176 0.176 0.000
9 Al 0.276 0.500 0.776
10 Al 0.724 0.500 0.224
11 Al 0.824 0.824 0.000


# Cs3In4Au
Computed XRD peak list, Cu Kα. Input: the PBE geometry in Alexandria.
No peak broadening, texture or thermal motion is included.

Principal peaks in the range 10° ≤ 2θ ≤ 90°, most intense first:
- 29.6°, d 3.019, rel. 100.0
- 11.3°, d 7.811, rel. 62.4
- 32.4°, d 2.761, rel. 46.9
- 22.8°, d 3.905, rel. 34.7
- 14.7°, d 6.012, rel. 33.7
- 28.0°, d 3.185, rel. 25.8
- 46.5°, d 1.953, rel. 22.6
- 31.4°, d 2.851, rel. 22.5
- 30.3°, d 2.951, rel. 21.8
- 27.4°, d 3.257, rel. 21.2

Atomic structure:
Cell lengths 6.514, 15.621, 6.976 Å; angles 90.00, 90.00, 90.00 degrees
Element x y z (fractional)
1 Cs 0.250 0.016 0.215
2 Cs 0.250 0.484 0.215
3 Cs 0.250 0.750 0.496
4 Cs 0.750 0.250 0.504
5 Cs 0.750 0.516 0.785
6 Cs 0.750 0.984 0.785
7 In 0.015 0.750 0.994
8 In 0.250 0.148 0.705
9 In 0.250 0.352 0.705
10 In 0.485 0.750 0.994
11 In 0.515 0.250 0.006
12 In 0.750 0.648 0.295
13 In 0.750 0.852 0.295
14 In 0.985 0.250 0.006
15 Au 0.250 0.250 0.349
16 Au 0.750 0.750 0.651


# Rb2PuRh3O12
Computed XRD peak list, Cu Kα. Input: the PBE geometry in Alexandria.
No peak broadening, texture or thermal motion is included.

Principal peaks in the range 10° ≤ 2θ ≤ 90°, most intense first:
- 28.7°, d 3.113, rel. 100.0
- 15.0°, d 5.914, rel. 64.0
- 30.2°, d 2.957, rel. 57.2
- 27.9°, d 3.199, rel. 53.0
- 48.8°, d 1.866, rel. 28.1
- 50.7°, d 1.800, rel. 27.6
- 46.0°, d 1.971, rel. 24.6
- 45.5°, d 1.992, rel. 20.1
- 24.7°, d 3.601, rel. 19.4
- 58.9°, d 1.569, rel. 14.4

Atomic structure:
Cell lengths 7.474, 7.474, 7.474 Å; angles 57.60, 57.60, 57.60 degrees
Element x y z (fractional)
1 Rb 0.116 0.116 0.116
2 Rb 0.884 0.884 0.884
3 Pu 0.500 0.500 0.500
4 Rh 0.000 0.500 0.500
5 Rh 0.500 0.000 0.500
6 Rh 0.500 0.500 0.000
7 O 0.174 0.571 0.571
8 O 0.182 0.182 0.578
9 O 0.182 0.578 0.182
10 O 0.422 0.818 0.818
11 O 0.429 0.429 0.826
12 O 0.429 0.826 0.429
13 O 0.571 0.174 0.571
14 O 0.571 0.571 0.174
15 O 0.578 0.182 0.182
16 O 0.818 0.422 0.818
17 O 0.818 0.818 0.422
18 O 0.826 0.429 0.429


# Cu2Pd2Cl7
Computed XRD peak list, Cu Kα. Input: the PBE geometry in Alexandria.
No peak broadening, texture or thermal motion is included.

Principal peaks in the range 10° ≤ 2θ ≤ 90°, most intense first:
- 13.6°, d 6.533, rel. 100.0
- 21.6°, d 4.116, rel. 99.1
- 20.4°, d 4.351, rel. 94.3
- 31.0°, d 2.884, rel. 58.0
- 40.4°, d 2.235, rel. 53.6
- 26.9°, d 3.318, rel. 48.6
- 27.3°, d 3.269, rel. 48.5
- 24.7°, d 3.600, rel. 38.7
- 35.5°, d 2.528, rel. 38.0
- 35.9°, d 2.499, rel. 36.0

Atomic structure:
Cell lengths 6.820, 6.820, 6.320 Å; angles 93.61, 93.61, 105.99 degrees
Element x y z (fractional)
1 Cu 0.242 0.242 0.086
2 Cu 0.758 0.758 0.914
3 Pd 0.159 0.841 0.500
4 Pd 0.841 0.159 0.500
5 Cl 0.037 0.384 0.278
6 Cl 0.146 0.146 0.738
7 Cl 0.384 0.037 0.278
8 Cl 0.500 0.500 0.000
9 Cl 0.616 0.963 0.722
10 Cl 0.854 0.854 0.262
11 Cl 0.963 0.616 0.722


# Er5UC4
Computed XRD peak list, Cu Kα. Input: the PBE geometry in Alexandria.
No peak broadening, texture or thermal motion is included.

Principal peaks in the range 10° ≤ 2θ ≤ 90°, most intense first:
- 30.8°, d 2.901, rel. 100.0
- 35.6°, d 2.519, rel. 52.6
- 30.6°, d 2.920, rel. 32.7
- 61.2°, d 1.515, rel. 28.9
- 51.2°, d 1.784, rel. 26.7
- 35.8°, d 2.511, rel. 26.4
- 51.6°, d 1.773, rel. 18.6
- 61.0°, d 1.520, rel. 14.3
- 64.2°, d 1.452, rel. 9.7
- 51.4°, d 1.779, rel. 9.5

Atomic structure:
Cell lengths 7.927, 7.927, 7.133 Å; angles 102.49, 102.49, 25.94 degrees
Element x y z (fractional)
1 Er 0.000 0.000 0.000
2 Er 0.333 0.333 0.652
3 Er 0.338 0.338 0.186
4 Er 0.662 0.662 0.814
5 Er 0.667 0.667 0.348
6 U 0.000 0.000 0.500
7 C 0.159 0.159 0.580
8 C 0.499 0.499 0.268
9 C 0.501 0.501 0.732
10 C 0.841 0.841 0.420


# Pm5Tm6
Computed XRD peak list, Cu Kα. Input: the PBE geometry in Alexandria.
No peak broadening, texture or thermal motion is included.

Principal peaks in the range 10° ≤ 2θ ≤ 90°, most intense first:
- 30.5°, d 2.933, rel. 100.0
- 31.0°, d 2.883, rel. 89.2
- 32.0°, d 2.797, rel. 88.9
- 28.8°, d 3.095, rel. 78.8
- 34.9°, d 2.568, rel. 76.4
- 34.7°, d 2.582, rel. 59.1
- 59.6°, d 1.551, rel. 34.8
- 36.8°, d 2.445, rel. 28.4
- 59.0°, d 1.566, rel. 25.3
- 57.0°, d 1.616, rel. 22.8

Atomic structure:
Cell lengths 7.942, 7.942, 6.387 Å; angles 99.75, 99.75, 111.00 degrees
Element x y z (fractional)
1 Pm 0.000 0.000 0.000
2 Pm 0.131 0.869 0.500
3 Pm 0.261 0.739 0.000
4 Pm 0.739 0.261 0.000
5 Pm 0.869 0.131 0.500
6 Tm 0.197 0.452 0.325
7 Tm 0.339 0.339 0.805
8 Tm 0.452 0.197 0.325
9 Tm 0.548 0.803 0.675
10 Tm 0.661 0.661 0.195
11 Tm 0.803 0.548 0.675


# CeNd4Si4
Computed XRD peak list, Cu Kα. Input: the PBE geometry in Alexandria.
No peak broadening, texture or thermal motion is included.

Principal peaks in the range 10° ≤ 2θ ≤ 90°, most intense first:
- 26.5°, d 3.364, rel. 100.0
- 31.1°, d 2.874, rel. 92.1
- 31.4°, d 2.847, rel. 44.2
- 24.6°, d 3.621, rel. 34.5
- 44.6°, d 2.032, rel. 29.9
- 52.6°, d 1.739, rel. 28.9
- 47.1°, d 1.929, rel. 27.8
- 37.3°, d 2.412, rel. 26.9
- 51.5°, d 1.776, rel. 22.3
- 34.6°, d 2.591, rel. 22.2

Atomic structure:
Cell lengths 9.087, 9.087, 5.995 Å; angles 90.00, 90.00, 90.00 degrees
Element x y z (fractional)
1 Ce 0.250 0.250 0.250
2 Ce 0.750 0.750 0.750
3 Nd 0.052 0.672 0.117
4 Nd 0.172 0.948 0.617
5 Nd 0.328 0.552 0.617
6 Nd 0.448 0.828 0.117
7 Nd 0.552 0.172 0.883
8 Nd 0.672 0.448 0.383
9 Nd 0.828 0.052 0.383
10 Nd 0.948 0.328 0.883
11 Si 0.013 0.616 0.607
12 Si 0.116 0.987 0.107
13 Si 0.384 0.513 0.107
14 Si 0.487 0.884 0.607
15 Si 0.513 0.116 0.393
16 Si 0.616 0.487 0.893
17 Si 0.884 0.013 0.893
18 Si 0.987 0.384 0.393